The following is a computed powder diffraction line list of InFeGe2O6. It was derived from the PBE+U geometry in Alexandria, using Cu Kα, 1.54184 Å.
Intensities are scaled so that the largest is 100.

Atomic structure:
Cell lengths 10.2558, 9.3494, 5.5853 Å; angles 90.00, 104.38, 90.00 degrees
Space group C2/c (No. 15)
Symmetry-distinct sites (fractional):
In: 0.0000 0.2168 0.2500 (multiplicity 4)
Fe: 0.0000 0.4061 0.7500 (multiplicity 4)
Ge: 0.2086 0.0915 0.7748 (multiplicity 8)
O: 0.1117 0.4100 0.1409 (multiplicity 8)
O: 0.1253 0.2480 0.6438 (multiplicity 8)
O: 0.1482 0.0506 0.0484 (multiplicity 8)

Most intense lines, 2θ from 15° to 90°, sorted by position:
(hkl)  2θ/deg  I/Imax
2 2 0  26.18  42.9
2 2 -1  28.53  100.0
3 1 -1  29.50  38.4
0 0 2  33.12  53.5
1 3 -1  33.28  53.9
2 2 1  33.40  56.5
3 1 1  36.44  16.4
5 3 -1  53.78  24.4
1 3 -3  57.79  20.0
5 3 1  61.25  25.3